# 1
For RbBe2SiRh, a DFT-relaxed cell (PBE, Alexandria) gives the computed X-ray powder pattern in this record (λ = 1.5418 Å (Cu Kα)).

Peak list (6 most intense, 10 to 80 degrees two-theta, in order of falling intensity)
d_spacing	intensity
3.228	100
3.257	84
1.875	42
2.303	39
1.858	33
1.614	25

Structure:
```
data_RbBe2SiRh
_cell_length_a 4.605
_cell_length_b 4.605
_cell_length_c 4.526
_cell_angle_alpha 90.00
_cell_angle_beta 90.00
_cell_angle_gamma 90.00
_symmetry_space_group_name_H-M 'P 4/m m m'
_symmetry_Int_Tables_number 123
_symmetry_space_group_name_Hall '-P 4 2'
loop_
_atom_site_label
_atom_site_fract_x
_atom_site_fract_y
_atom_site_fract_z
Rb1 0.000 0.000 0.000
Be1 0.000 0.500 0.500
Si1 0.500 0.500 0.000
Rh1 0.500 0.500 0.500
```

=====

# 2
For Rb2BeSbS4, a DFT-relaxed cell (PBE, Alexandria) gives the computed X-ray powder pattern in this record (λ = 1.5418 Å (Cu Kα)).

Peak list (6 most intense, 10 to 80 degrees two-theta, in order of falling intensity)
d_spacing	intensity
3.364	100
4.521	55
3.402	47
2.384	26
2.784	25
2.342	21

Structure:
```
data_Rb2BeSbS4
_cell_length_a 6.049
_cell_length_b 14.243
_cell_length_c 23.234
_cell_angle_alpha 90.00
_cell_angle_beta 90.00
_cell_angle_gamma 90.00
_symmetry_space_group_name_H-M 'F d d d'
_symmetry_Int_Tables_number 70
loop_
_symmetry_equiv_pos_as_xyz
'x,y,z'
'-x,-y,-z'
'-x+1/4,-y+1/4,z'
'x+1/4,y+1/4,-z'
'x,-y+1/4,-z+1/4'
'-x,y+1/4,z+1/4'
'-x+1/4,y,-z+1/4'
'x+1/4,-y,z+1/4'
'x,y+1/2,z+1/2'
'-x,-y+1/2,-z+1/2'
'-x+1/4,-y+3/4,z+1/2'
'x+1/4,y+3/4,-z+1/2'
'x,-y+3/4,-z+3/4'
'-x,y+3/4,z+3/4'
'-x+1/4,y+1/2,-z+3/4'
'x+1/4,-y+1/2,z+3/4'
'x+1/2,y,z+1/2'
'-x+1/2,-y,-z+1/2'
'-x+3/4,-y+1/4,z+1/2'
'x+3/4,y+1/4,-z+1/2'
'x+1/2,-y+1/4,-z+3/4'
'-x+1/2,y+1/4,z+3/4'
'-x+3/4,y,-z+3/4'
'x+3/4,-y,z+3/4'
'x+1/2,y+1/2,z'
'-x+1/2,-y+1/2,-z'
'-x+3/4,-y+3/4,z'
'x+3/4,y+3/4,-z'
'x+1/2,-y+3/4,-z+1/4'
'-x+1/2,y+3/4,z+1/4'
'-x+3/4,y+1/2,-z+1/4'
'x+3/4,-y+1/2,z+1/4'
loop_
_atom_site_label
_atom_site_fract_x
_atom_site_fract_y
_atom_site_fract_z
Rb1 0.125 0.125 0.303
Be1 0.125 0.125 0.125
Sb1 0.125 0.125 0.625
S1 0.082 0.283 0.425
```

=====

# 3
For Rb2TiBeS4, a DFT-relaxed cell (PBE, Alexandria) gives the computed X-ray powder pattern in this record (λ = 1.5418 Å (Cu Kα)).

Peak list (6 most intense, 10 to 80 degrees two-theta, in order of falling intensity)
d_spacing	intensity
3.341	100
2.906	54
1.960	36
3.423	26
1.914	25
2.807	20

Structure:
```
data_Rb2TiBeS4
_cell_length_a 6.846
_cell_length_b 6.846
_cell_length_c 9.233
_cell_angle_alpha 90.00
_cell_angle_beta 90.00
_cell_angle_gamma 90.00
_symmetry_space_group_name_H-M 'I -4'
_symmetry_Int_Tables_number 82
loop_
_symmetry_equiv_pos_as_xyz
'x,y,z'
'y,-x,-z'
'-x,-y,z'
'-y,x,-z'
'x+1/2,y+1/2,z+1/2'
'y+1/2,-x+1/2,-z+1/2'
'-x+1/2,-y+1/2,z+1/2'
'-y+1/2,x+1/2,-z+1/2'
loop_
_atom_site_label
_atom_site_fract_x
_atom_site_fract_y
_atom_site_fract_z
Rb1 0.000 0.000 0.000
Rb2 0.000 0.500 0.250
Ti1 0.000 0.500 0.750
Be1 0.000 0.000 0.500
S1 0.112 0.758 0.619
```

=====

# 4
For Rb4U3BeS8, a DFT-relaxed cell (PBE, Alexandria) gives the computed X-ray powder pattern in this record (λ = 1.5418 Å (Cu Kα)).

Peak list (6 most intense, 10 to 80 degrees two-theta, in order of falling intensity)
d_spacing	intensity
2.951	100
7.701	60
2.218	57
3.011	55
3.302	51
3.851	44

Structure:
```
data_Rb4U3BeS8
_cell_length_a 14.041
_cell_length_b 7.897
_cell_length_c 8.979
_cell_angle_alpha 90.00
_cell_angle_beta 120.94
_cell_angle_gamma 90.00
_symmetry_space_group_name_H-M 'C 1 2/m 1'
_symmetry_Int_Tables_number 12
loop_
_symmetry_equiv_pos_as_xyz
'x,y,z'
'-x,-y,-z'
'-x,y,-z'
'x,-y,z'
'x+1/2,y+1/2,z'
'-x+1/2,-y+1/2,-z'
'-x+1/2,y+1/2,-z'
'x+1/2,-y+1/2,z'
loop_
_atom_site_label
_atom_site_fract_x
_atom_site_fract_y
_atom_site_fract_z
Rb1 0.000 0.000 0.000
Rb2 0.000 0.500 0.000
Rb3 0.250 0.250 0.000
U1 0.000 0.000 0.500
U2 0.250 0.250 0.500
Be1 0.000 0.500 0.500
S1 0.019 0.278 0.329
S2 0.230 0.000 0.697
S3 0.241 0.500 0.701
```

=====

# 5
For RbYBeS3, a DFT-relaxed cell (PBE, Alexandria) gives the computed X-ray powder pattern in this record (λ = 1.5418 Å (Cu Kα)).

Peak list (6 most intense, 10 to 80 degrees two-theta, in order of falling intensity)
d_spacing	intensity
2.954	100
2.891	36
8.711	34
2.904	33
3.547	28
7.578	27

Structure:
```
data_RbYBeS3
_cell_length_a 9.223
_cell_length_b 3.883
_cell_length_c 9.274
_cell_angle_alpha 90.00
_cell_angle_beta 110.06
_cell_angle_gamma 90.00
_symmetry_space_group_name_H-M 'P 1 21/m 1'
_symmetry_Int_Tables_number 11
loop_
_symmetry_equiv_pos_as_xyz
'x,y,z'
'-x,-y,-z'
'-x,y+1/2,-z'
'x,-y+1/2,z'
loop_
_atom_site_label
_atom_site_fract_x
_atom_site_fract_y
_atom_site_fract_z
Rb1 0.204 0.250 0.236
Y1 0.333 0.750 0.851
Be1 0.075 0.250 0.604
S1 0.120 0.250 0.838
S2 0.162 0.750 0.532
S3 0.465 0.750 0.162
```

=====

# 6
For RbBeTlSe2, a DFT-relaxed cell (PBE, Alexandria) gives the computed X-ray powder pattern in this record (λ = 1.5418 Å (Cu Kα)).

Peak list (6 most intense, 10 to 80 degrees two-theta, in order of falling intensity)
d_spacing	intensity
3.376	100
3.052	100
7.642	98
2.847	84
2.994	69
2.929	65

Structure:
```
data_RbBeTlSe2
_cell_length_a 7.652
_cell_length_b 5.078
_cell_length_c 9.050
_cell_angle_alpha 90.00
_cell_angle_beta 92.92
_cell_angle_gamma 90.00
_symmetry_space_group_name_H-M 'P 1 2/c 1'
_symmetry_Int_Tables_number 13
loop_
_symmetry_equiv_pos_as_xyz
'x,y,z'
'-x,-y,-z'
'-x,y,-z+1/2'
'x,-y,z+1/2'
loop_
_atom_site_label
_atom_site_fract_x
_atom_site_fract_y
_atom_site_fract_z
Rb1 0.000 0.216 0.250
Be1 0.500 0.500 0.000
Tl1 0.500 0.062 0.250
Se1 0.272 0.323 0.936
```

=====

# 7
For RbBe2Tc, a DFT-relaxed cell (PBE, Alexandria) gives the computed X-ray powder pattern in this record (λ = 1.5418 Å (Cu Kα)).

Peak list (6 most intense, 10 to 80 degrees two-theta, in order of falling intensity)
d_spacing	intensity
3.196	100
2.089	59
3.896	35
2.478	25
1.536	22
1.598	14

Structure:
```
data_RbBe2Tc
_cell_length_a 4.956
_cell_length_b 4.956
_cell_length_c 15.585
_cell_angle_alpha 90.00
_cell_angle_beta 90.00
_cell_angle_gamma 90.00
_symmetry_space_group_name_H-M 'I 41/a m d'
_symmetry_Int_Tables_number 141
loop_
_symmetry_equiv_pos_as_xyz
'x,y,z'
'-x,-y,-z'
'-y+1/4,x+3/4,z+1/4'
'y+1/4,-x+3/4,-z+1/4'
'-x+1/2,-y,z+1/2'
'x+1/2,y,-z+1/2'
'y+1/4,-x+1/4,z+3/4'
'-y+1/4,x+1/4,-z+3/4'
'x,-y,-z'
'-x,y,z'
'-y+1/4,-x+1/4,-z+3/4'
'y+1/4,x+1/4,z+3/4'
'-x+1/2,y,-z+1/2'
'x+1/2,-y,z+1/2'
'y+1/4,x+3/4,-z+1/4'
'-y+1/4,-x+3/4,z+1/4'
'x+1/2,y+1/2,z+1/2'
'-x+1/2,-y+1/2,-z+1/2'
'-y+3/4,x+1/4,z+3/4'
'y+3/4,-x+1/4,-z+3/4'
'-x,-y+1/2,z'
'x,y+1/2,-z'
'y+3/4,-x+3/4,z+1/4'
'-y+3/4,x+3/4,-z+1/4'
'x+1/2,-y+1/2,-z+1/2'
'-x+1/2,y+1/2,z+1/2'
'-y+3/4,-x+3/4,-z+1/4'
'y+3/4,x+3/4,z+1/4'
'-x,y+1/2,-z'
'x,-y+1/2,z'
'y+3/4,x+1/4,-z+3/4'
'-y+3/4,-x+1/4,z+3/4'
loop_
_atom_site_label
_atom_site_fract_x
_atom_site_fract_y
_atom_site_fract_z
Rb1 0.000 0.250 0.375
Be1 0.000 0.000 0.000
Tc1 0.000 0.250 0.875
```

=====

# 8
For RbBeTc2, a DFT-relaxed cell (PBE, Alexandria) gives the computed X-ray powder pattern in this record (λ = 1.5418 Å (Cu Kα)).

Peak list (6 most intense, 10 to 80 degrees two-theta, in order of falling intensity)
d_spacing	intensity
3.581	100
2.015	67
2.770	51
3.012	49
4.378	32
2.196	31

Structure:
```
data_RbBeTc2
_cell_length_a 4.538
_cell_length_b 4.538
_cell_length_c 17.491
_cell_angle_alpha 90.00
_cell_angle_beta 90.00
_cell_angle_gamma 90.00
_symmetry_space_group_name_H-M 'I -4 2 d'
_symmetry_Int_Tables_number 122
_symmetry_space_group_name_Hall 'I -4 2bw'
loop_
_atom_site_label
_atom_site_fract_x
_atom_site_fract_y
_atom_site_fract_z
Rb1 0.000 0.000 0.000
Be1 0.000 0.000 0.500
Tc1 0.073 0.750 0.625
```